# Ho3Mg7Cd2
Theoretical powder diffraction line list, CuKα. Input: a structure optimized by DFT (PBE).
Lines closer than 0.1° are merged.

Main lines, in order of falling intensity (2θ from 5° to 70°):
2θ/deg	intensity	hkl
16.2	100	0 6 0
33.6	70	1 5 1
34.7	61	1 11 0
22.0	53	1 5 0
36.2	51	1 7 1
30.8	50	1 1 1

Structural model:
```
data_Ho3Mg7Cd2
_space_group_name_H-M_alt 'C m m m'
_space_group_IT_number 65
_space_group_name_Hall '-C 2 2'
_cell_length_a 5.120
_cell_length_b 32.886
_cell_length_c 3.551
_cell_angle_alpha 90.00
_cell_angle_beta 90.00
_cell_angle_gamma 90.00
loop_
_atom_site_label
_atom_site_fract_x
_atom_site_fract_y
_atom_site_fract_z
_atom_site_occupancy
Ho1 0.000 0.000 0.000 1
Ho2 0.000 0.177 0.000 1
Mg1 0.000 0.088 0.500 1
Mg2 0.000 0.269 0.500 1
Mg3 0.000 0.426 0.000 1
Mg4 0.000 0.500 0.500 1
Cd1 0.000 0.355 0.500 1
```

---

# Ho3Mg4Cd4
Theoretical powder diffraction line list, CuKα. Input: a structure optimized by DFT (PBE).
Lines closer than 0.1° are merged.

Main lines, in order of falling intensity (2θ from 5° to 70°):
2θ/deg	intensity	hkl
36.4	100	0 1 5
33.8	100	-1 1 2
32.2	65	1 -1 1
33.0	61	1 0 3
35.9	54	0 2 -1
17.0	45	0 0 3

Structural model:
```
data_Ho3Mg4Cd4
_space_group_name_H-M_alt 'P -1'
_space_group_IT_number 2
_space_group_name_Hall '-P 1'
_cell_length_a 3.420
_cell_length_b 4.997
_cell_length_c 15.893
_cell_angle_alpha 98.99
_cell_angle_beta 96.15
_cell_angle_gamma 90.01
loop_
_atom_site_label
_atom_site_fract_x
_atom_site_fract_y
_atom_site_fract_z
_atom_site_occupancy
Ho1 0.000 0.000 0.000 1
Ho2 0.141 0.640 0.281 1
Mg1 0.264 0.264 0.528 1
Mg2 0.406 0.908 0.816 1
Cd1 0.316 0.817 0.633 1
Cd2 0.453 0.453 0.906 1
```

---

# HoMg4Cd4
Theoretical powder diffraction line list, CuKα. Input: a structure optimized by DFT (PBE).
Lines closer than 0.1° are merged.

Main lines, in order of falling intensity (2θ from 5° to 70°):
2θ/deg	intensity	hkl
28.6	100	2 0 1
38.6	64	2 0 3
31.8	64	2 1 1
43.0	56	2 2 2
30.2	38	1 0 3
26.3	30	1 1 2

Structural model:
```
data_HoMg4Cd4
_space_group_name_H-M_alt 'P 42/n m c'
_space_group_IT_number 137
_cell_length_a 6.564
_cell_length_b 6.564
_cell_length_c 9.957
_cell_angle_alpha 90.00
_cell_angle_beta 90.00
_cell_angle_gamma 90.00
loop_
_space_group_symop_operation_xyz
'x,y,z'
'-x,-y,-z'
'-y+1/2,x,z+1/2'
'y+1/2,-x,-z+1/2'
'-x+1/2,-y+1/2,z'
'x+1/2,y+1/2,-z'
'y,-x+1/2,z+1/2'
'-y,x+1/2,-z+1/2'
'x+1/2,-y,-z'
'-x+1/2,y,z'
'-y,-x,-z+1/2'
'y,x,z+1/2'
'-x,y+1/2,-z'
'x,-y+1/2,z'
'y+1/2,x+1/2,-z+1/2'
'-y+1/2,-x+1/2,z+1/2'
loop_
_atom_site_label
_atom_site_fract_x
_atom_site_fract_y
_atom_site_fract_z
_atom_site_occupancy
Ho1 0.250 0.750 0.250 1
Mg1 0.030 0.250 0.175 1
Cd1 0.017 0.250 0.470 1
```

---

Please write out number 2 again, unchanged.
# Ho3Mg4Cd4
Theoretical powder diffraction line list, CuKα. Input: a structure optimized by DFT (PBE).
Lines closer than 0.1° are merged.

Main lines, in order of falling intensity (2θ from 5° to 70°):
2θ/deg	intensity	hkl
36.4	100	0 1 5
33.8	100	-1 1 2
32.2	65	1 -1 1
33.0	61	1 0 3
35.9	54	0 2 -1
17.0	45	0 0 3

Structural model:
```
data_Ho3Mg4Cd4
_space_group_name_H-M_alt 'P -1'
_space_group_IT_number 2
_space_group_name_Hall '-P 1'
_cell_length_a 3.420
_cell_length_b 4.997
_cell_length_c 15.893
_cell_angle_alpha 98.99
_cell_angle_beta 96.15
_cell_angle_gamma 90.01
loop_
_atom_site_label
_atom_site_fract_x
_atom_site_fract_y
_atom_site_fract_z
_atom_site_occupancy
Ho1 0.000 0.000 0.000 1
Ho2 0.141 0.640 0.281 1
Mg1 0.264 0.264 0.528 1
Mg2 0.406 0.908 0.816 1
Cd1 0.316 0.817 0.633 1
Cd2 0.453 0.453 0.906 1
```